Computed powder X-ray diffraction pattern
Compound: Li3CoO4
Radiation: copper Kα
Structure: a crystal structure in OQMD, relaxed with GGA+U
Lines closer than 0.1° are merged.

Principal peaks in the range 2θ = 10–90°, in order of rising 2θ:
| index | 2θ (°) | I/Imax |
| --- | --- | --- |
| 0 1 0 | 15.59 | 63 |
| 1 0 0 | 19.08 | 100 |
| 0 1 1 | 25.05 | 55 |
| 1 1 -1 | 27.18 | 49 |
| 2 0 -2 | 45.12 | 41 |
| 1 2 1 | 45.41 | 81 |

```
16
Lattice="4.9537 0.0000 0.0000 0.0000 5.6834 0.0000 -1.6692 0.0000 4.5566" Properties=species:S:1:pos:R:3 pbc="T T T"
Li -0.4173 0.6274 1.1391
Li -1.2519 2.1076 3.4174
Li -0.4173 3.5758 1.1391
Li -1.2519 5.0560 3.4174
Li 1.2249 0.6889 3.4174
Li 2.0595 4.9945 1.1391
Co 2.0595 2.0515 1.1391
Co 1.2249 3.6319 3.4174
O 1.2528 0.8272 0.1143
O 0.4182 4.8562 2.3926
O 0.5702 2.2402 2.2528
O -0.2644 3.4432 4.5311
O 3.5489 2.2402 0.0255
O 2.7143 3.4432 2.3038
O 2.8663 0.8272 2.1640
O 2.0316 4.8562 4.4423
```